Entry 1:
This entry pairs a crystal structure of Ba6Sm2Ga4O15 with its theoretical powder diffraction line list. Radiation: a wavelength of 1.5418 Å. Structure: a cell relaxed with GGA-PBE.

Crystal structure
abc: 8.117 6.092 18.783
angles: 90.00 91.07 90.00
Space group P2/c (No. 13)
Symmetry-distinct sites (fractional):
Ba1 0.000 0.166 0.250 [2 per cell]
Ba2 0.001 0.256 0.579 [4 per cell]
Ba3 0.469 0.242 0.909 [4 per cell]
Ba4 0.500 0.224 0.250 [2 per cell]
Sm1 0.251 0.244 0.090 [4 per cell]
Ga1 0.254 0.254 0.440 [4 per cell]
Ga2 0.271 0.277 0.736 [4 per cell]
O1 0.036 0.257 0.406 [4 per cell]
O2 0.190 0.176 0.820 [4 per cell]
O3 0.227 0.453 0.194 [4 per cell]
O4 0.247 0.056 0.666 [4 per cell]
O5 0.263 0.498 0.001 [4 per cell]
O6 0.265 0.006 0.500 [4 per cell]
O7 0.451 0.260 0.390 [4 per cell]
O8 0.500 0.289 0.750 [2 per cell]

Principal peaks in the range 2θ = 10–90°, low angle first:
- 3.130 Å, I 49, (0 0 6)
- 3.046 Å, I 52, (0 2 0)
- 2.992 Å, I 93, (2 1 -3)
- 2.954 Å, I 100, (2 1 3)
- 2.183 Å, I 45, (0 2 6)
- 2.029 Å, I 22, (4 0 0)
- 1.740 Å, I 18, (2 3 3)
- 1.689 Å, I 23, (4 2 0)

***

Entry 2:
This entry pairs a crystal structure of Ba6Tb2Ga4O15 with its theoretical powder diffraction line list. Radiation: a wavelength of 1.5418 Å. Structure: a cell relaxed with GGA-PBE.

Crystal structure
abc: 8.055 6.051 18.694
angles: 90.00 91.39 90.00
Space group P2/c (No. 13)
Symmetry-distinct sites (fractional):
Ba1 0.000 0.165 0.250 [2 per cell]
Ba2 0.001 0.257 0.578 [4 per cell]
Ba3 0.471 0.243 0.910 [4 per cell]
Ba4 0.500 0.224 0.250 [2 per cell]
Tb1 0.252 0.246 0.090 [4 per cell]
Ga1 0.254 0.250 0.441 [4 per cell]
Ga2 0.270 0.275 0.734 [4 per cell]
O1 0.033 0.256 0.408 [4 per cell]
O2 0.190 0.173 0.818 [4 per cell]
O3 0.225 0.456 0.191 [4 per cell]
O4 0.248 0.051 0.664 [4 per cell]
O5 0.264 0.494 0.505 [4 per cell]
O6 0.266 0.005 0.999 [4 per cell]
O7 0.453 0.262 0.391 [4 per cell]
O8 0.500 0.294 0.750 [2 per cell]

Principal peaks in the range 2θ = 10–90°, low angle first:
- 3.115 Å, I 53, (0 0 6)
- 3.026 Å, I 56, (0 2 0)
- 2.977 Å, I 97, (2 1 -3)
- 2.927 Å, I 100, (2 1 3)
- 2.170 Å, I 48, (0 2 6)
- 2.013 Å, I 23, (4 0 0)
- 1.728 Å, I 20, (2 3 3)
- 1.676 Å, I 18, (4 2 0)

***

Entry 3:
This entry pairs a crystal structure of BaYZn3GaO7 with its theoretical powder diffraction line list. Radiation: a wavelength of 1.5418 Å. Structure: a cell relaxed with GGA-PBE.

Crystal structure
abc: 6.4349 6.4349 10.3922
angles: 90.00 90.00 120.00
Space group P6_3mc (No. 186)
Symmetry-distinct sites (fractional):
Ba1 0.3333 0.6667 0.0000 [2 per cell]
Y1 0.3333 0.6667 0.6433 [2 per cell]
Zn1 0.1706 0.3413 0.3262 [6 per cell]
Ga1 0.0000 0.0000 0.0761 [2 per cell]
O1 0.0000 0.0000 0.2578 [2 per cell]
O2 0.0107 0.5053 0.7724 [6 per cell]
O3 0.1591 0.3182 0.5193 [6 per cell]

Principal peaks in the range 2θ = 10–90°, low angle first:
- 3.217 Å, I 40, (1 1 0)
- 2.942 Å, I 86, (1 0 3)
- 2.735 Å, I 89, (1 1 2)
- 2.691 Å, I 100, (2 0 1)
- 1.800 Å, I 37, (2 1 3)
- 1.749 Å, I 23, (3 0 2)
- 1.666 Å, I 36, (2 0 5)
- 1.609 Å, I 43, (2 2 0)

***

Entry 4:
This entry pairs a crystal structure of Ba2GaS4 with its theoretical powder diffraction line list. Radiation: a wavelength of 1.5418 Å. Structure: a cell relaxed with GGA-PBE.

Crystal structure
abc: 12.870 6.292 20.144
angles: 90.00 104.31 90.00
Space group P2_1/c (No. 14)
Symmetry-distinct sites (fractional):
Ba1 0.027 0.231 0.188 [4 per cell]
Ba2 0.117 0.235 0.463 [4 per cell]
Ba3 0.354 0.742 0.451 [4 per cell]
Ba4 0.395 0.236 0.286 [4 per cell]
Ga1 0.197 0.688 0.601 [4 per cell]
Ga2 0.383 0.183 0.599 [4 per cell]
S1 0.081 0.726 0.164 [4 per cell]
S2 0.113 0.733 0.485 [4 per cell]
S3 0.186 0.066 0.328 [4 per cell]
S4 0.186 0.099 0.827 [4 per cell]
S5 0.231 0.177 0.127 [4 per cell]
S6 0.368 0.682 0.116 [4 per cell]
S7 0.384 0.245 0.488 [4 per cell]
S8 0.462 0.736 0.323 [4 per cell]

Principal peaks in the range 2θ = 10–90°, low angle first:
- 3.906 Å, I 84, (1 1 -4)
- 3.790 Å, I 46, (2 1 2)
- 3.500 Å, I 51, (3 1 -2)
- 3.146 Å, I 93, (0 2 0)
- 3.118 Å, I 22, (4 0 0)
- 2.978 Å, I 100, (1 0 6)
- 2.165 Å, I 25, (4 2 -4)
- 2.161 Å, I 29, (1 2 6)